Record 1
This entry pairs a crystal structure of Eu2DyWO6 with its calculated PXRD pattern. Radiation: CuKα. Structure: a DFT-relaxed cell (PBE+U, the Materials Project).

Principal peaks in the range 2θ = 10–90°, in order of rising 2θ:
2θ = 30.14°, rel. 100, (2 2 0)
2θ = 43.15°, rel. 27, (4 0 0)
2θ = 53.53°, rel. 41, (4 2 2)
2θ = 62.67°, rel. 17, (4 4 0)
2θ = 71.10°, rel. 18, (6 2 0)
2θ = 86.93°, rel. 22, (6 4 2)

```
data_Eu2DyWO6
_chemical_formula_sum 'Eu8 Dy4 W4 O24'
_cell_length_a 8.3864
_cell_length_b 8.3864
_cell_length_c 8.3864
_cell_angle_alpha 90.00
_cell_angle_beta 90.00
_cell_angle_gamma 90.00
_space_group_name_H-M_alt 'F m -3 m'
_space_group_IT_number 225
_space_group_name_Hall '-F 4 2 3'
loop_
_atom_site_label
_atom_site_fract_x
_atom_site_fract_y
_atom_site_fract_z
_atom_site_occupancy
Eu1 0.2500 0.2500 0.2500 1
Dy1 0.0000 0.0000 0.0000 1
W1 0.0000 0.0000 0.5000 1
O1 0.0000 0.0000 0.2632 1
```

***

Record 2
This entry pairs a crystal structure of Li9Mn2Co5O16 with its calculated PXRD pattern. Radiation: CuKα. Structure: a DFT-relaxed cell (PBE+U, the Materials Project).

Principal peaks in the range 2θ = 10–90°, in order of rising 2θ:
2θ = 18.32°, rel. 100, (0 0 4)
2θ = 34.78°, rel. 18, (-1 1 1)
2θ = 35.65°, rel. 15, (1 1 1)
2θ = 41.94°, rel. 32, (-1 1 5)
2θ = 43.23°, rel. 29, (1 1 5)
2θ = 44.78°, rel. 25, (0 2 -6)

```
data_Li9Mn2Co5O16
_chemical_formula_sum 'Li9 Mn2 Co5 O16'
_cell_length_a 3.0118
_cell_length_b 5.0067
_cell_length_c 19.3985
_cell_angle_alpha 92.72
_cell_angle_beta 91.07
_cell_angle_gamma 91.26
_space_group_name_H-M_alt 'P -1'
_space_group_IT_number 2
_space_group_name_Hall '-P 1'
loop_
_atom_site_label
_atom_site_fract_x
_atom_site_fract_y
_atom_site_fract_z
_atom_site_occupancy
Li1 0.0000 0.0000 0.0000 1
Li2 0.0009 0.3706 0.1201 1
Li3 0.0020 0.1246 0.3725 1
Li4 0.4947 0.8793 0.1205 1
Li5 0.4980 0.3755 0.6275 1
Mn1 0.0000 0.5000 0.5000 1
Mn2 0.5000 0.0000 0.5000 1
Co1 0.0004 0.2503 0.7512 1
Co2 0.4998 0.2500 0.2484 1
Co3 0.5000 0.5000 0.0000 1
O1 0.0073 0.4436 0.3072 1
O2 0.0074 0.9447 0.8097 1
O3 0.0126 0.6650 0.0530 1
O4 0.0438 0.8058 0.4411 1
O5 0.4562 0.6942 0.5588 1
O6 0.4930 0.0548 0.6930 1
O7 0.4926 0.5587 0.1923 1
O8 0.4981 0.2237 0.0555 1
```

***

Record 3
This entry pairs a crystal structure of LiVPO4 with its calculated PXRD pattern. Radiation: CuKα. Structure: a DFT-relaxed cell (PBE+U, the Materials Project).

Principal peaks in the range 2θ = 10–90°, in order of rising 2θ:
2θ = 18.14°, rel. 38, (0 0 2)
2θ = 23.68°, rel. 63, (1 1 0)
2θ = 27.40°, rel. 42, (2 0 0)
2θ = 29.99°, rel. 67, (2 -1 2)
2θ = 30.67°, rel. 56, (1 0 3)
2θ = 33.06°, rel. 100, (2 0 2)

```
data_LiVPO4
_chemical_formula_sum 'Li6 V6 P6 O24'
_cell_length_a 7.5160
_cell_length_b 7.5160
_cell_length_c 9.7795
_cell_angle_alpha 90.00
_cell_angle_beta 90.00
_cell_angle_gamma 120.00
_space_group_name_H-M_alt 'P 3 1 c'
_space_group_IT_number 159
_space_group_name_Hall 'P 3 -2c'
loop_
_atom_site_label
_atom_site_fract_x
_atom_site_fract_y
_atom_site_fract_z
_atom_site_occupancy
Li1 0.0505 0.2525 0.0000 1
V1 0.0547 0.5747 0.2223 1
P1 0.0000 0.0000 0.2483 1
P2 0.3333 0.6667 0.5145 1
P3 0.3333 0.6667 0.9228 1
O1 0.0000 0.0000 0.4066 1
O2 0.1026 0.8777 0.1921 1
O3 0.1203 0.4973 0.5616 1
O4 0.1704 0.7195 0.8737 1
O5 0.3333 0.6667 0.0871 1
O6 0.3333 0.6667 0.3518 1
```

***

Record 4
This entry pairs a crystal structure of Li8Mn5Fe3B8O24 with its calculated PXRD pattern. Radiation: CuKα. Structure: a DFT-relaxed cell (PBE+U, the Materials Project).

Principal peaks in the range 2θ = 10–90°, in order of rising 2θ:
2θ = 19.55°, rel. 66, (1 0 0)
2θ = 21.52°, rel. 61, (1 1 -2)
2θ = 26.31°, rel. 30, (1 1 -4)
2θ = 34.20°, rel. 87, (2 1 0)
2θ = 34.35°, rel. 100, (0 0 8)
2θ = 48.36°, rel. 25, (1 1 -10)

```
data_Li8Mn5Fe3B8O24
_chemical_formula_sum 'Li8 Mn5 Fe3 B8 O24'
_cell_length_a 5.2366
_cell_length_b 5.2490
_cell_length_c 20.8918
_cell_angle_alpha 88.43
_cell_angle_beta 89.54
_cell_angle_gamma 60.08
_space_group_name_H-M_alt 'P 1'
_space_group_IT_number 1
_space_group_name_Hall 'P 1'
loop_
_atom_site_label
_atom_site_fract_x
_atom_site_fract_y
_atom_site_fract_z
_atom_site_occupancy
Li1 0.0000 0.0000 0.0000 1
Li2 0.0008 0.9995 0.5006 1
Li3 0.0134 0.3157 0.8745 1
Li4 0.0160 0.3139 0.3747 1
Li5 0.9632 0.3398 0.1247 1
Li6 0.9665 0.3384 0.6248 1
Li7 0.9730 0.0109 0.7505 1
Li8 0.9794 0.0080 0.2505 1
Mn1 0.3217 0.3356 0.0174 1
Mn2 0.3216 0.3364 0.5183 1
Mn3 0.6541 0.6652 0.2659 1
Mn4 0.6672 0.9839 0.8912 1
Mn5 0.6679 0.9860 0.3924 1
Fe1 0.3019 0.6677 0.1423 1
Fe2 0.3057 0.6699 0.6436 1
Fe3 0.6564 0.6583 0.7656 1
B1 0.3225 0.3311 0.7696 1
B2 0.3263 0.3277 0.2700 1
B3 0.3330 0.6591 0.8949 1
B4 0.3333 0.6601 0.3959 1
B5 0.6467 0.0015 0.1454 1
B6 0.6495 0.6689 0.0216 1
B7 0.6497 0.6687 0.5221 1
B8 0.6507 0.9995 0.6465 1
O1 0.0666 0.3162 0.7767 1
O2 0.0770 0.3036 0.2779 1
O3 0.0872 0.9347 0.9023 1
O4 0.0881 0.9353 0.4034 1
O5 0.3041 0.5918 0.2486 1
O6 0.3068 0.5961 0.7506 1
O7 0.3128 0.4082 0.9104 1
O8 0.3127 0.4094 0.4113 1
O9 0.3736 0.7017 0.0371 1
O10 0.3742 0.7016 0.5379 1
O11 0.3816 0.2469 0.1264 1
O12 0.3857 0.2456 0.6280 1
O13 0.5939 0.0811 0.7835 1
O14 0.6001 0.6284 0.8740 1
O15 0.6005 0.6292 0.3746 1
O16 0.6036 0.0846 0.2853 1
O17 0.6610 0.7326 0.1593 1
O18 0.6666 0.7289 0.6600 1
O19 0.6702 0.9114 0.5003 1
O20 0.6707 0.9113 0.9999 1
O21 0.8991 0.3945 0.0285 1
O22 0.8995 0.0231 0.1524 1
O23 0.8995 0.3941 0.5289 1
O24 0.9035 0.0215 0.6529 1
```